Starting from DFT lattice parameters and positions (GGA-PBE), the powder diffractogram of K2Mg4Os was simulated for Cu Kα X-rays.
No peak broadening, texture or thermal motion is included.

Structural model:
```
7
Lattice="-2.597 2.597 9.036 2.597 -2.597 9.036 2.597 2.597 -9.036" Properties=species:S:1:pos:R:3 pbc="T T T"
K 0.000 0.000 2.665
K 0.000 0.000 15.406
Mg 2.597 0.000 0.000
Mg 0.000 0.000 6.519
Mg 0.000 2.597 0.000
Mg 0.000 0.000 11.552
Os 0.000 0.000 9.036
```

The 8 most intense peaks (15° ≤ 2θ ≤ 90°), sorted by position:
- 17.77 deg, d = 4.991 Å, I 100
- 22.61 deg, d = 3.933 Å, I 97
- 24.24 deg, d = 3.672 Å, I 62
- 30.12 deg, d = 2.967 Å, I 30
- 34.54 deg, d = 2.597 Å, I 47
- 39.10 deg, d = 2.304 Å, I 29
- 41.68 deg, d = 2.167 Å, I 38
- 46.16 deg, d = 1.967 Å, I 32

=====

Starting from DFT lattice parameters and positions (GGA-PBE), the powder diffractogram of LiHfTc was simulated for Cu Kα X-rays.
No peak broadening, texture or thermal motion is included.

Structural model:
```
6
Lattice="2.191 -7.271 0.000 2.191 7.271 0.000 0.000 0.000 3.252" Properties=species:S:1:pos:R:3 pbc="T T T"
Li 0.000 0.000 0.000
Li 2.191 0.000 1.626
Hf 2.191 4.768 1.626
Hf 2.191 -4.768 1.626
Tc 2.191 2.432 0.000
Tc 2.191 -2.432 0.000
```

The 8 most intense peaks (15° ≤ 2θ ≤ 90°), sorted by position:
- 34.91 deg, d = 2.570 Å, I 28
- 37.10 deg, d = 2.423 Å, I 31
- 39.19 deg, d = 2.299 Å, I 100
- 41.21 deg, d = 2.191 Å, I 22
- 46.75 deg, d = 1.943 Å, I 22
- 56.63 deg, d = 1.625 Å, I 29
- 68.26 deg, d = 1.374 Å, I 18
- 73.75 deg, d = 1.285 Å, I 21

=====

Starting from DFT lattice parameters and positions (GGA-PBE), the powder diffractogram of Tm2Zn12CuNi3 was simulated for Cu Kα X-rays.
No peak broadening, texture or thermal motion is included.

Structural model:
```
18
Lattice="4.395 2.537 5.151 -4.395 2.537 5.151 0.000 -5.075 5.151" Properties=species:S:1:pos:R:3 pbc="T T T"
Tm 0.000 0.000 1.678
Tm 0.000 0.000 13.775
Zn -2.159 -1.247 7.453
Zn 0.000 -2.353 5.270
Zn -2.038 1.177 5.270
Zn -2.038 -1.177 10.183
Zn 0.000 -2.493 8.000
Zn -2.159 1.247 8.000
Zn 2.159 -1.247 7.453
Zn 0.000 2.493 7.453
Zn 2.038 1.177 5.270
Zn 2.038 -1.177 10.183
Zn 0.000 2.353 10.183
Zn 2.159 1.247 8.000
Cu 0.000 0.000 7.727
Ni -2.197 -1.269 5.151
Ni -2.197 1.269 10.302
Ni 0.000 2.537 5.151
```

The 8 most intense peaks (15° ≤ 2θ ≤ 90°), sorted by position:
- 24.08 deg, d = 3.695 Å, I 41
- 26.66 deg, d = 3.343 Å, I 26
- 31.23 deg, d = 2.864 Å, I 16
- 33.04 deg, d = 2.711 Å, I 25
- 34.83 deg, d = 2.576 Å, I 17
- 40.60 deg, d = 2.222 Å, I 19
- 41.08 deg, d = 2.197 Å, I 100
- 54.93 deg, d = 1.672 Å, I 24

=====

Starting from DFT lattice parameters and positions (GGA-PBE), the powder diffractogram of Tb3Sc2 was simulated for Cu Kα X-rays.
No peak broadening, texture or thermal motion is included.

Structural model:
```
10
Lattice="5.741 -3.031 0.000 5.741 3.031 0.000 -3.062 0.000 8.351" Properties=species:S:1:pos:R:3 pbc="T T T"
Tb 0.240 1.017 5.422
Tb 3.445 1.959 6.263
Tb 1.771 -1.017 1.247
Tb 6.650 1.017 7.105
Tb 4.976 -1.959 2.088
Tb 8.181 -1.017 2.929
Sc 4.418 0.993 0.412
Sc 5.533 0.993 3.763
Sc 2.887 -0.993 4.588
Sc 4.002 -0.993 7.939
```

The 8 most intense peaks (15° ≤ 2θ ≤ 90°), sorted by position:
- 18.29 deg, d = 4.850 Å, I 15
- 29.44 deg, d = 3.034 Å, I 24
- 32.76 deg, d = 2.733 Å, I 24
- 33.78 deg, d = 2.653 Å, I 100
- 44.62 deg, d = 2.031 Å, I 15
- 52.25 deg, d = 1.751 Å, I 13
- 59.14 deg, d = 1.562 Å, I 19
- 63.02 deg, d = 1.475 Å, I 21